This entry pairs a crystal structure of Pm3Mg2Cd with its theoretical PXRD pattern. Radiation: Cu Kα X-rays. Structure: a structure optimized by DFT (PBE).
Neutral-atom scattering factors, no anomalous dispersion.

Top 8 peaks for 2θ from 15° to 90°, in order of rising 2θ:
2θ = 23.10°, I = 25; 2θ = 32.90°, I = 100; 2θ = 40.58°, I = 8; 2θ = 47.27°, I = 12; 2θ = 58.70°, I = 25; 2θ = 58.83°, I = 12; 2θ = 68.95°, I = 10; 2θ = 78.62°, I = 8

Cell and atoms:
```
Pm3Mg2Cd
1.0
2.716 -8.170 0.000
2.716 8.170 0.000
0.000 0.000 3.858
Pm Mg Cd
3 2 1
direct
0.000 0.000 0.000 Pm
0.334 0.666 0.000 Pm
0.666 0.334 0.000 Pm
0.170 0.830 0.500 Mg
0.830 0.170 0.500 Mg
0.500 0.500 0.500 Cd
```